Entry 1:
Diffraction record for LiAcGa4Pt2. The powder XRD pattern is calculated, not measured: it uses a crystal structure in Alexandria, relaxed with PBE and λ = 1.5418 Å (Cu Kα).

Structure:
a = 9.513 Å, b = 9.513 Å, c = 9.513 Å
α = 26.42°, β = 26.42°, γ = 26.42°
Sites, in units of the cell vectors:
Li: 0.000 0.000 0.000
Ac: 0.500 0.500 0.500
Ga: 0.094 0.094 0.094
Ga: 0.369 0.369 0.369
Ga: 0.631 0.631 0.631
Ga: 0.906 0.906 0.906
Pt: 0.270 0.270 0.270
Pt: 0.730 0.730 0.730

Peak list (10 most intense, 2θ = 10–90°, by angle)
- 23.85 deg, I = 301
- 26.99 deg, I = 360
- 28.72 deg, I = 846
- 29.20 deg, I = 309
- 35.34 deg, I = 609
- 41.54 deg, I = 1000
- 43.42 deg, I = 213
- 49.38 deg, I = 214
- 51.28 deg, I = 174
- 51.58 deg, I = 395

=====

Entry 2:
Diffraction record for BaNd2Rh9. The powder XRD pattern is calculated, not measured: it uses a crystal structure in Alexandria, relaxed with PBE and λ = 1.5418 Å (Cu Kα).

Structure:
a = 9.366 Å, b = 9.366 Å, c = 9.366 Å
α = 33.55°, β = 33.55°, γ = 33.55°
Sites, in units of the cell vectors:
Ba: 0.000 0.000 0.000
Nd: 0.139 0.139 0.139
Nd: 0.861 0.861 0.861
Rh: 0.084 0.583 0.583
Rh: 0.333 0.333 0.333
Rh: 0.417 0.417 0.916
Rh: 0.417 0.916 0.417
Rh: 0.500 0.500 0.500
Rh: 0.583 0.084 0.583
Rh: 0.583 0.583 0.084
Rh: 0.667 0.667 0.667
Rh: 0.916 0.417 0.417

Peak list (10 most intense, 2θ = 10–90°, by angle)
- 30.37 deg, I = 234
- 33.14 deg, I = 518
- 38.61 deg, I = 303
- 39.07 deg, I = 1000
- 40.88 deg, I = 293
- 42.20 deg, I = 460
- 59.20 deg, I = 159
- 63.19 deg, I = 315
- 69.56 deg, I = 228
- 83.95 deg, I = 141